The following is a calculated powder diffraction line list of BaSrSnBr6. It was derived from a structure optimized by DFT (PBE), using Cu Kα, 1.54184 Å.
No peak broadening, texture or thermal motion is included.

Atomic structure:
Cell: 7.252 7.252 14.258 Å, 90.00 90.00 90.00°
Fractional coordinates of all 18 atoms:
Ba 0.000 0.000 0.000
Ba 0.500 0.500 0.500
Sr 0.000 0.000 0.333
Sr 0.500 0.500 0.833
Sn 0.000 0.000 0.667
Sn 0.500 0.500 0.167
Br 0.185 0.185 0.503
Br 0.199 0.199 0.823
Br 0.204 0.204 0.175
Br 0.296 0.704 0.675
Br 0.301 0.699 0.323
Br 0.315 0.685 0.003
Br 0.685 0.315 0.003
Br 0.699 0.301 0.323
Br 0.704 0.296 0.675
Br 0.796 0.796 0.175
Br 0.801 0.801 0.823
Br 0.815 0.815 0.503

Peak list (6 most intense, 2θ = 15–90°, low angle first)
| 2theta | d [Å] | I_rel |
| --- | --- | --- |
| 17.29 | 5.128 | 92 |
| 25.55 | 3.486 | 88 |
| 27.51 | 3.243 | 35 |
| 33.45 | 2.679 | 100 |
| 34.99 | 2.564 | 42 |
| 41.92 | 2.155 | 88 |

The following is a calculated powder diffraction line list of BaSrTl2Br6. It was derived from a structure optimized by DFT (PBE), using Cu Kα, 1.54184 Å.
No peak broadening, texture or thermal motion is included.

Atomic structure:
Cell: 8.613 8.613 8.613 Å, 57.39 57.39 57.39°
Fractional coordinates of all 10 atoms:
Ba 0.000 0.000 0.000
Sr 0.498 0.498 0.498
Tl 0.292 0.292 0.292
Tl 0.794 0.794 0.794
Br 0.131 0.702 0.380
Br 0.222 0.622 0.860
Br 0.380 0.131 0.702
Br 0.622 0.860 0.222
Br 0.702 0.380 0.131
Br 0.860 0.222 0.622

Peak list (6 most intense, 2θ = 15–90°, low angle first)
| 2theta | d [Å] | I_rel |
| --- | --- | --- |
| 20.66 | 4.300 | 75 |
| 24.86 | 3.582 | 74 |
| 29.98 | 2.981 | 64 |
| 33.07 | 2.708 | 100 |
| 37.18 | 2.418 | 55 |
| 37.67 | 2.388 | 73 |

The following is a calculated powder diffraction line list of Ba2TbBr6. It was derived from a structure optimized by DFT (PBE), using Cu Kα, 1.54184 Å.
No peak broadening, texture or thermal motion is included.

Atomic structure:
Cell: 7.567 7.567 13.244 Å, 90.00 90.00 90.00°
Fractional coordinates of all 18 atoms:
Ba 0.000 0.000 0.177
Ba 0.000 0.000 0.823
Ba 0.500 0.500 0.323
Ba 0.500 0.500 0.677
Tb 0.000 0.000 0.500
Tb 0.500 0.500 0.000
Br 0.202 0.202 0.356
Br 0.202 0.202 0.644
Br 0.228 0.228 0.000
Br 0.272 0.728 0.500
Br 0.298 0.702 0.144
Br 0.298 0.702 0.856
Br 0.702 0.298 0.144
Br 0.702 0.298 0.856
Br 0.728 0.272 0.500
Br 0.772 0.772 0.000
Br 0.798 0.798 0.356
Br 0.798 0.798 0.644

Peak list (6 most intense, 2θ = 15–90°, low angle first)
| 2theta | d [Å] | I_rel |
| --- | --- | --- |
| 16.57 | 5.351 | 100 |
| 23.33 | 3.813 | 40 |
| 26.17 | 3.405 | 63 |
| 33.36 | 2.686 | 91 |
| 33.49 | 2.675 | 55 |
| 41.22 | 2.190 | 50 |

The following is a calculated powder diffraction line list of BaTh2Br11. It was derived from a structure optimized by DFT (PBE), using Cu Kα, 1.54184 Å.
No peak broadening, texture or thermal motion is included.

Atomic structure:
Cell: 11.791 11.791 11.791 Å, 123.11 106.16 100.10°
Fractional coordinates of all 28 atoms:
Ba 0.250 0.250 0.000
Ba 0.750 0.750 0.000
Th 0.187 0.647 0.834
Th 0.313 0.147 0.459
Th 0.687 0.853 0.541
Th 0.813 0.353 0.166
Br 0.000 0.500 0.500
Br 0.043 0.972 0.292
Br 0.052 0.367 0.157
Br 0.180 0.472 0.929
Br 0.208 0.381 0.589
Br 0.210 0.895 0.843
Br 0.290 0.133 0.685
Br 0.292 0.881 0.174
Br 0.320 0.249 0.292
Br 0.448 0.605 0.315
Br 0.457 0.749 0.929
Br 0.500 0.000 0.500
Br 0.543 0.251 0.071
Br 0.552 0.395 0.685
Br 0.680 0.751 0.708
Br 0.708 0.119 0.826
Br 0.710 0.867 0.315
Br 0.790 0.105 0.157
Br 0.792 0.619 0.411
Br 0.820 0.528 0.071
Br 0.948 0.633 0.843
Br 0.957 0.028 0.708

Peak list (6 most intense, 2θ = 15–90°, low angle first)
| 2theta | d [Å] | I_rel |
| --- | --- | --- |
| 15.44 | 5.739 | 100 |
| 15.91 | 5.571 | 52 |
| 17.14 | 5.172 | 66 |
| 17.97 | 4.935 | 84 |
| 31.88 | 2.807 | 60 |
| 32.74 | 2.735 | 57 |

The following is a calculated powder diffraction line list of Ba2TiBr. It was derived from a structure optimized by DFT (PBE), using Cu Kα, 1.54184 Å.
No peak broadening, texture or thermal motion is included.

Atomic structure:
Cell: 7.807 7.807 7.807 Å, 108.23 108.23 111.98°
Fractional coordinates of all 8 atoms:
Ba 0.096 0.625 0.971
Ba 0.375 0.346 0.471
Ba 0.654 0.125 0.029
Ba 0.875 0.904 0.529
Ti 0.250 0.750 0.500
Ti 0.500 0.500 0.000
Br 0.000 0.000 0.000
Br 0.750 0.250 0.500

Peak list (6 most intense, 2θ = 15–90°, low angle first)
| 2theta | d [Å] | I_rel |
| --- | --- | --- |
| 24.59 | 3.620 | 100 |
| 27.57 | 3.236 | 63 |
| 37.27 | 2.412 | 60 |
| 39.38 | 2.288 | 22 |
| 46.06 | 1.971 | 32 |
| 62.17 | 1.493 | 21 |

The following is a calculated powder diffraction line list of Ba3TlBr7. It was derived from a structure optimized by DFT (PBE), using Cu Kα, 1.54184 Å.
No peak broadening, texture or thermal motion is included.

Atomic structure:
Cell: 9.578 9.578 10.757 Å, 90.00 90.00 107.94°
Fractional coordinates of all 22 atoms:
Ba 0.000 0.000 0.000
Ba 0.000 0.000 0.500
Ba 0.034 0.507 0.751
Ba 0.493 0.966 0.749
Ba 0.507 0.034 0.249
Ba 0.966 0.493 0.251
Tl 0.500 0.500 0.000
Tl 0.500 0.500 0.500
Br 0.126 0.874 0.750
Br 0.128 0.378 0.483
Br 0.129 0.378 0.018
Br 0.140 0.860 0.250
Br 0.378 0.128 0.517
Br 0.378 0.129 0.982
Br 0.385 0.615 0.750
Br 0.615 0.385 0.250
Br 0.622 0.871 0.482
Br 0.622 0.872 0.017
Br 0.860 0.140 0.750
Br 0.871 0.622 0.518
Br 0.872 0.622 0.983
Br 0.874 0.126 0.250

Peak list (6 most intense, 2θ = 15–90°, low angle first)
| 2theta | d [Å] | I_rel |
| --- | --- | --- |
| 19.48 | 4.556 | 46 |
| 20.10 | 4.418 | 47 |
| 31.76 | 2.817 | 27 |
| 32.62 | 2.745 | 100 |
| 33.32 | 2.689 | 24 |
| 46.70 | 1.945 | 18 |

The following is a calculated powder diffraction line list of BaTlZnBr5. It was derived from a structure optimized by DFT (PBE), using Cu Kα, 1.54184 Å.
No peak broadening, texture or thermal motion is included.

Atomic structure:
Cell: 8.175 8.175 11.238 Å, 103.88 103.88 105.11°
Fractional coordinates of all 16 atoms:
Ba 0.000 0.000 0.000
Ba 0.000 0.000 0.500
Tl 0.354 0.646 0.750
Tl 0.646 0.354 0.250
Zn 0.318 0.682 0.250
Zn 0.682 0.318 0.750
Br 0.072 0.650 0.340
Br 0.110 0.890 0.750
Br 0.276 0.414 0.073
Br 0.350 0.928 0.160
Br 0.414 0.276 0.573
Br 0.586 0.724 0.427
Br 0.650 0.072 0.840
Br 0.724 0.586 0.927
Br 0.890 0.110 0.250
Br 0.928 0.350 0.660

Peak list (6 most intense, 2θ = 15–90°, low angle first)
| 2theta | d [Å] | I_rel |
| --- | --- | --- |
| 17.45 | 5.083 | 100 |
| 19.44 | 4.567 | 75 |
| 22.00 | 4.041 | 85 |
| 25.69 | 3.468 | 66 |
| 27.93 | 3.194 | 60 |
| 36.07 | 2.490 | 70 |

The following is a calculated powder diffraction line list of Ba2UBr8. It was derived from a structure optimized by DFT (PBE), using Cu Kα, 1.54184 Å.
No peak broadening, texture or thermal motion is included.

Atomic structure:
Cell: 11.522 11.522 11.522 Å, 154.55 144.20 44.43°
Fractional coordinates of all 11 atoms:
Ba 0.171 0.171 0.000
Ba 0.829 0.829 0.000
U 0.500 0.500 0.000
Br 0.148 0.391 0.757
Br 0.268 0.768 0.500
Br 0.269 0.000 0.269
Br 0.365 0.609 0.757
Br 0.635 0.391 0.243
Br 0.731 0.000 0.731
Br 0.732 0.232 0.500
Br 0.852 0.609 0.243

Peak list (6 most intense, 2θ = 15–90°, low angle first)
| 2theta | d [Å] | I_rel |
| --- | --- | --- |
| 17.67 | 5.018 | 43 |
| 21.53 | 4.128 | 21 |
| 27.31 | 3.266 | 21 |
| 33.31 | 2.690 | 100 |
| 35.37 | 2.538 | 26 |
| 62.18 | 1.493 | 16 |